No. 1
Structure and theoretical PXRD pattern of PrHo8Th4 (a PBE-relaxed structure; copper Kα).

Structure:
```
PrHo8Th4
1.0
3.6850 2.1275 8.8840
-3.6850 2.1275 8.8840
0.0000 -4.2551 8.8840
Pr Ho Th
1 8 4
Direct
0.0000 0.0000 0.0000 Pr
0.2507 0.2507 0.6890 Ho
0.2507 0.6890 0.2507 Ho
0.2784 0.2784 0.2784 Ho
0.3110 0.7493 0.7493 Ho
0.6890 0.2507 0.2507 Ho
0.7216 0.7216 0.7216 Ho
0.7493 0.3110 0.7493 Ho
0.7493 0.7493 0.3110 Ho
0.0000 0.0000 0.5000 Th
0.0000 0.5000 0.0000 Th
0.5000 0.0000 0.0000 Th
0.5000 0.5000 0.5000 Th
```

Main lines, in order of falling intensity (10 to 90 degrees two-theta):
- 31.07 deg, rel. 100.0
- 32.71 deg, rel. 47.6
- 30.18 deg, rel. 32.4
- 39.09 deg, rel. 31.4
- 49.47 deg, rel. 29.8
- 28.16 deg, rel. 25.5
- 59.05 deg, rel. 25.2
- 53.09 deg, rel. 19.6

No. 2
Structure and theoretical PXRD pattern of Th3SnH3 (a PBE-relaxed structure; copper Kα).

Structure:
```
Th3SnH3
1.0
3.4772 2.0076 7.1207
-3.4772 2.0076 7.1207
0.0000 -4.0151 7.1207
Th Sn H
6 2 6
Direct
0.0972 0.4106 0.7776 Th
0.2224 0.9028 0.5894 Th
0.4106 0.7776 0.0972 Th
0.5894 0.2224 0.9028 Th
0.7776 0.0972 0.4106 Th
0.9028 0.5894 0.2224 Th
0.3329 0.3329 0.3329 Sn
0.6671 0.6671 0.6671 Sn
0.1274 0.7836 0.4736 H
0.2164 0.5264 0.8726 H
0.4736 0.1274 0.7836 H
0.5264 0.8726 0.2164 H
0.7836 0.4736 0.1274 H
0.8726 0.2164 0.5264 H
```

Main lines, in order of falling intensity (10 to 90 degrees two-theta):
- 28.57 deg, rel. 100.0
- 36.11 deg, rel. 37.0
- 45.16 deg, rel. 25.5
- 46.31 deg, rel. 16.8
- 54.31 deg, rel. 16.3
- 25.01 deg, rel. 15.4
- 73.24 deg, rel. 13.0
- 52.32 deg, rel. 11.9

No. 3
Structure and theoretical PXRD pattern of Ac2SmEr (a PBE-relaxed structure; copper Kα).

Structure:
```
Ac2SmEr
1.0
6.3876 0.0000 0.0000
0.0000 3.8162 0.0000
-2.2799 0.0000 6.2051
Ac Sm Er
2 1 1
Direct
0.0000 0.0000 0.0000 Ac
0.0000 0.5000 0.5000 Ac
0.5000 0.0000 0.5000 Sm
0.5000 0.5000 0.0000 Er
```

Main lines, in order of falling intensity (10 to 90 degrees two-theta):
- 28.78 deg, rel. 100.0
- 33.65 deg, rel. 66.7
- 29.80 deg, rel. 30.5
- 57.23 deg, rel. 29.9
- 47.66 deg, rel. 25.6
- 49.00 deg, rel. 23.6
- 56.63 deg, rel. 15.4
- 58.41 deg, rel. 14.1